Structure and simulated XRD peak list of NdPuAlCd (DFT lattice parameters and positions (GGA-PBE); CuKα).

Cell and atoms:
```
NdPuAlCd
1.0
7.5166 0.0000 0.0000
0.0000 7.5166 0.0000
0.0000 0.0000 7.5166
Nd Pu Al Cd
4 4 4 4
direct
0.0000 0.0000 0.0000 Nd
0.0000 0.5000 0.5000 Nd
0.5000 0.0000 0.5000 Nd
0.5000 0.5000 0.0000 Nd
0.0000 0.0000 0.5000 Pu
0.0000 0.5000 0.0000 Pu
0.5000 0.0000 0.0000 Pu
0.5000 0.5000 0.5000 Pu
0.2500 0.2500 0.2500 Al
0.2500 0.7500 0.7500 Al
0.7500 0.2500 0.7500 Al
0.7500 0.7500 0.2500 Al
0.2500 0.2500 0.7500 Cd
0.2500 0.7500 0.2500 Cd
0.7500 0.2500 0.2500 Cd
0.7500 0.7500 0.7500 Cd
```

Top 10 peaks for 10 to 90 degrees two-theta, low angle first:
| 2theta | Rel. int. |
| --- | --- |
| 20.46 | 12.8 |
| 23.67 | 24.5 |
| 33.73 | 100.0 |
| 39.77 | 7.5 |
| 41.62 | 7.9 |
| 48.44 | 18.1 |
| 54.60 | 11.1 |
| 60.32 | 37.6 |
| 70.93 | 11.6 |
| 80.88 | 16.4 |

Structure and simulated XRD peak list of Pr3CdHg3 (DFT lattice parameters and positions (GGA-PBE); CuKα).

Cell and atoms:
```
Pr3CdHg3
1.0
5.2079 -5.3076 0.0000
5.2079 5.3076 0.0000
-0.0010 0.0000 7.5464
Pr Cd Hg
6 2 6
direct
0.0002 0.0002 0.2493 Pr
0.9998 0.9998 0.7507 Pr
0.0006 0.4997 0.2495 Pr
0.4997 0.0006 0.2495 Pr
0.5003 0.9994 0.7505 Pr
0.9994 0.5003 0.7505 Pr
0.3319 0.3319 0.9989 Cd
0.6681 0.6681 0.0011 Cd
0.2596 0.7404 0.0000 Hg
0.2720 0.7280 0.5000 Hg
0.2880 0.2880 0.5011 Hg
0.7120 0.7120 0.4989 Hg
0.7280 0.2720 0.5000 Hg
0.7404 0.2596 0.0000 Hg
```

Top 10 peaks for 10 to 90 degrees two-theta, low angle first:
| 2theta | Rel. int. |
| --- | --- |
| 26.49 | 10.8 |
| 27.02 | 7.7 |
| 33.83 | 100.0 |
| 34.44 | 13.3 |
| 36.25 | 7.7 |
| 48.24 | 8.5 |
| 49.01 | 9.1 |
| 60.18 | 8.3 |
| 60.47 | 13.0 |
| 61.32 | 6.9 |

Structure and simulated XRD peak list of Cs5Si2Te6 (DFT lattice parameters and positions (GGA-PBE); CuKα).

Cell and atoms:
```
Cs5Si2Te6
1.0
7.3756 -4.7842 0.0000
7.3756 4.7842 0.0000
-3.9614 0.0000 19.2539
Cs Si Te
10 4 12
direct
0.1323 0.8677 0.7500 Cs
0.1865 0.7155 0.0005 Cs
0.2560 0.4250 0.2801 Cs
0.2845 0.8135 0.4995 Cs
0.4250 0.2560 0.7801 Cs
0.5750 0.7440 0.2199 Cs
0.7155 0.1865 0.5005 Cs
0.7440 0.5750 0.7199 Cs
0.8135 0.2845 0.9995 Cs
0.8677 0.1323 0.2500 Cs
0.1290 0.4153 0.5713 Si
0.4153 0.1290 0.0713 Si
0.5847 0.8710 0.9287 Si
0.8710 0.5847 0.4287 Si
0.0934 0.2066 0.6366 Te
0.1360 0.2967 0.4371 Te
0.2066 0.0934 0.1366 Te
0.2967 0.1360 0.9371 Te
0.3824 0.4783 0.6251 Te
0.4783 0.3824 0.1251 Te
0.5217 0.6176 0.8749 Te
0.6176 0.5217 0.3749 Te
0.7033 0.8640 0.0629 Te
0.7934 0.9066 0.8634 Te
0.8640 0.7033 0.5629 Te
0.9066 0.7934 0.3634 Te
```

Top 10 peaks for 10 to 90 degrees two-theta, low angle first:
| 2theta | Rel. int. |
| --- | --- |
| 11.52 | 36.6 |
| 21.97 | 53.1 |
| 22.72 | 57.3 |
| 23.18 | 28.9 |
| 24.15 | 100.0 |
| 25.15 | 70.6 |
| 26.26 | 38.3 |
| 27.41 | 29.2 |
| 28.82 | 57.2 |
| 29.78 | 40.2 |

Structure and simulated XRD peak list of HfTiPt3 (DFT lattice parameters and positions (GGA-PBE); CuKα).

Cell and atoms:
```
HfTiPt3
1.0
2.6513 -6.9332 0.0000
2.6513 6.9332 0.0000
0.0000 0.0000 5.0876
Hf Ti Pt
2 2 6
direct
0.1849 0.8151 0.7500 Hf
0.8151 0.1849 0.2500 Hf
0.4802 0.5198 0.2500 Ti
0.5198 0.4802 0.7500 Ti
0.0000 0.0000 0.0000 Pt
0.0000 0.0000 0.5000 Pt
0.1003 0.4010 0.7500 Pt
0.4010 0.1003 0.2500 Pt
0.5990 0.8997 0.7500 Pt
0.8997 0.5990 0.2500 Pt
```

Top 10 peaks for 10 to 90 degrees two-theta, low angle first:
| 2theta | Rel. int. |
| --- | --- |
| 17.91 | 67.4 |
| 21.67 | 48.6 |
| 25.09 | 33.7 |
| 36.56 | 25.0 |
| 37.67 | 35.9 |
| 38.97 | 49.9 |
| 40.51 | 100.0 |
| 42.96 | 69.1 |
| 44.11 | 83.7 |
| 46.68 | 38.4 |

Structure and simulated XRD peak list of Pa4SiSe5 (DFT lattice parameters and positions (GGA-PBE); CuKα).

Cell and atoms:
```
Pa4SiSe5
1.0
8.8121 -2.0245 0.0000
8.8121 2.0245 0.0000
-1.8781 0.0000 7.8960
Pa Si Se
4 1 5
direct
0.0007 0.0007 0.2585 Pa
0.3368 0.3368 0.4105 Pa
0.6632 0.6632 0.5895 Pa
0.9993 0.9993 0.7415 Pa
0.5000 0.5000 0.5000 Si
0.1657 0.1657 0.8338 Se
0.1689 0.1689 0.3343 Se
0.5000 0.5000 0.0000 Se
0.8311 0.8311 0.6657 Se
0.8343 0.8343 0.1662 Se
```

Top 10 peaks for 10 to 90 degrees two-theta, low angle first:
| 2theta | Rel. int. |
| --- | --- |
| 11.21 | 25.3 |
| 16.94 | 14.3 |
| 22.54 | 12.1 |
| 26.97 | 23.6 |
| 31.24 | 100.0 |
| 44.66 | 12.3 |
| 44.78 | 62.1 |
| 55.55 | 12.9 |
| 55.64 | 13.2 |
| 74.00 | 16.9 |

Structure and simulated XRD peak list of LiTiIn2Br6 (DFT lattice parameters and positions (GGA-PBE); CuKα).

Cell and atoms:
```
LiTiIn2Br6
1.0
7.4720 0.0000 0.0000
3.6842 6.5009 0.0000
3.6893 2.1598 6.1346
Li Ti In Br
1 1 2 6
direct
0.0000 0.0000 0.0000 Li
0.5054 0.5062 0.5070 Ti
0.2291 0.2301 0.2306 In
0.7334 0.7350 0.7355 In
0.2051 0.3257 0.7504 Br
0.2739 0.8110 0.6869 Br
0.3246 0.7508 0.2071 Br
0.6851 0.2736 0.8124 Br
0.7481 0.2072 0.3261 Br
0.8107 0.6860 0.2759 Br
```

Top 10 peaks for 10 to 90 degrees two-theta, low angle first:
| 2theta | Rel. int. |
| --- | --- |
| 23.81 | 15.2 |
| 27.89 | 26.8 |
| 27.91 | 13.5 |
| 29.11 | 100.0 |
| 29.37 | 35.7 |
| 33.82 | 87.1 |
| 38.05 | 14.4 |
| 48.41 | 19.7 |
| 48.74 | 21.7 |
| 50.79 | 18.3 |

Structure and simulated XRD peak list of La3Sm3Tl2Pb (DFT lattice parameters and positions (GGA-PBE); CuKα).

Cell and atoms:
```
La3Sm3Tl2Pb
1.0
8.8072 0.0000 0.0000
-4.4036 7.6273 0.0000
0.0000 0.0000 4.4060
La Sm Tl Pb
3 3 2 1
direct
0.0000 0.7219 0.0000 La
0.2781 0.2781 0.0000 La
0.7219 0.0000 0.0000 La
0.0000 0.4003 0.5000 Sm
0.4003 0.0000 0.5000 Sm
0.5997 0.5997 0.5000 Sm
0.3333 0.6667 0.0000 Tl
0.6667 0.3333 0.0000 Tl
0.0000 0.0000 0.5000 Pb
```

Top 10 peaks for 10 to 90 degrees two-theta, low angle first:
| 2theta | Rel. int. |
| --- | --- |
| 23.32 | 15.0 |
| 28.66 | 72.3 |
| 31.02 | 100.0 |
| 35.30 | 58.4 |
| 37.27 | 33.9 |
| 40.97 | 30.9 |
| 55.17 | 39.7 |
| 56.59 | 35.0 |
| 64.66 | 20.9 |
| 68.47 | 15.8 |

Structure and simulated XRD peak list of Y6Ho8Pb (DFT lattice parameters and positions (GGA-PBE); CuKα).

Cell and atoms:
```
Y6Ho8Pb
1.0
9.1594 0.0000 0.0000
-4.5797 7.9323 0.0000
0.0000 0.0000 6.7368
Y Ho Pb
6 8 1
direct
0.0823 0.6827 0.1049 Y
0.3173 0.3995 0.1049 Y
0.3995 0.0823 0.8951 Y
0.6005 0.9177 0.1049 Y
0.6827 0.6005 0.8951 Y
0.9177 0.3173 0.8951 Y
0.0142 0.3284 0.3905 Ho
0.3142 0.9858 0.3905 Ho
0.3284 0.3142 0.6095 Ho
0.3333 0.6667 0.6829 Ho
0.6667 0.3333 0.3171 Ho
0.6716 0.6858 0.3905 Ho
0.6858 0.0142 0.6095 Ho
0.9858 0.6716 0.6095 Ho
0.0000 0.0000 0.0000 Pb
```

Top 10 peaks for 10 to 90 degrees two-theta, low angle first:
| 2theta | Rel. int. |
| --- | --- |
| 17.27 | 17.9 |
| 23.49 | 27.3 |
| 26.07 | 40.7 |
| 28.80 | 19.1 |
| 32.69 | 54.5 |
| 33.01 | 100.0 |
| 33.90 | 94.7 |
| 48.04 | 19.0 |
| 52.06 | 19.9 |
| 53.57 | 19.4 |